Starting from a cell relaxed with PBE+U, the XRD peak list of Li4VFe3O8 was calculated for Cu Ka.
Peak positions follow from Bragg's law for the DFT cell and can differ from measured ones.

Cell and atoms:
abc: 5.9662 5.9671 5.9933
angles: 119.68 90.22 119.87
Space group P1 (No. 1)
One atom of each set of equivalent atoms:
Li 0.0000 0.0000 0.0000
Li 0.0002 0.4991 0.0000
Li 0.4965 0.0027 0.9984
Li 0.5034 0.5074 0.0018
V 0.4999 0.4996 0.5001
Fe 0.0003 0.9996 0.5007
Fe 0.4999 0.9994 0.4998
Fe 0.9993 0.4982 0.4991
O 0.2418 0.9821 0.7257
O 0.2442 0.4867 0.7307
O 0.2571 0.0141 0.2696
O 0.2578 0.5122 0.2700
O 0.7420 0.4864 0.7295
O 0.7425 0.9848 0.7306
O 0.7554 0.5122 0.2692
O 0.7579 0.0155 0.2740

Largest 8 diffraction maxima, in order of rising 2θ, 2θ = 10–90°:
hkl  2θ (°)  intensity
0 0 1  18.06  100
2 0 -1  35.21  29
2 -2 1  35.32  14
2 0 0  36.85  13
0 2 0  42.67  55
2 -2 2  42.86  27
2 0 2  61.91  15
4 -2 0  62.24  15